# CdI2
Computed powder diffractogram, Cu Kα (λ = 1.5418 Å). Input: a cell relaxed with PBE.
Neutral-atom scattering factors, no anomalous dispersion.

```
data_CdI2
_chemical_formula_sum 'Cd6 I12'
_symmetry_space_group_name_H-M 'P -3 m 1'
_symmetry_Int_Tables_number 164
_symmetry_space_group_name_Hall '-P 3 2"'
_cell_length_a 4.3314
_cell_length_b 4.3314
_cell_length_c 44.4848
_cell_angle_alpha 90.00
_cell_angle_beta 90.00
_cell_angle_gamma 120.00
loop_
_atom_site_label
_atom_site_type_symbol
_atom_site_fract_x
_atom_site_fract_y
_atom_site_fract_z
Cd1 Cd 0.0000 0.0000 0.0000
Cd2 Cd 0.0000 0.0000 0.1667
Cd3 Cd 0.0000 0.0000 0.5000
Cd4 Cd 0.3333 0.6667 0.6667
I1 I 0.0000 0.0000 0.2945
I2 I 0.3333 0.6667 0.0388
I3 I 0.3333 0.6667 0.2055
I4 I 0.3333 0.6667 0.3722
I5 I 0.3333 0.6667 0.5388
I6 I 0.3333 0.6667 0.8722
```

Largest 6 diffraction maxima, in order of rising 2θ, 2θ from 10° to 80°:
11.9°, I 61.5; 26.6°, I 100.0; 34.0°, I 23.4; 41.7°, I 56.5; 43.9°, I 25.8; 66.4°, I 25.6



# CdI2
Computed powder diffractogram, Cu Kα (λ = 1.5418 Å). Input: a cell relaxed with PBE.
Neutral-atom scattering factors, no anomalous dispersion.

```
data_CdI2
_chemical_formula_sum 'Cd11 I22'
_symmetry_space_group_name_H-M 'P 3 m 1'
_symmetry_Int_Tables_number 156
_symmetry_space_group_name_Hall 'P 3 -2"'
_cell_length_a 4.3460
_cell_length_b 4.3460
_cell_length_c 80.8229
_cell_angle_alpha 90.00
_cell_angle_beta 90.00
_cell_angle_gamma 120.00
loop_
_atom_site_label
_atom_site_type_symbol
_atom_site_fract_x
_atom_site_fract_y
_atom_site_fract_z
Cd1 Cd 0.0000 0.0000 0.0000
Cd2 Cd 0.0000 0.0000 0.0909
Cd3 Cd 0.0000 0.0000 0.1818
Cd4 Cd 0.0000 0.0000 0.2727
Cd5 Cd 0.0000 0.0000 0.5454
Cd6 Cd 0.0000 0.0000 0.7273
Cd7 Cd 0.0000 0.0000 0.8182
Cd8 Cd 0.3333 0.6667 0.3636
Cd9 Cd 0.3333 0.6667 0.4545
Cd10 Cd 0.3333 0.6667 0.6364
Cd11 Cd 0.6667 0.3333 0.9091
I1 I 0.0000 0.0000 0.3850
I2 I 0.0000 0.0000 0.4760
I3 I 0.0000 0.0000 0.6578
I4 I 0.0000 0.0000 0.8877
I5 I 0.3333 0.6667 0.0214
I6 I 0.3333 0.6667 0.1123
I7 I 0.3333 0.6667 0.2032
I8 I 0.3333 0.6667 0.2941
I9 I 0.3333 0.6667 0.5668
I10 I 0.3333 0.6667 0.7487
I11 I 0.3333 0.6667 0.8396
I12 I 0.3333 0.6667 0.9305
I13 I 0.6667 0.3333 0.0695
I14 I 0.6667 0.3333 0.1604
I15 I 0.6667 0.3333 0.2513
I16 I 0.6667 0.3333 0.3422
I17 I 0.6667 0.3333 0.4332
I18 I 0.6667 0.3333 0.5240
I19 I 0.6667 0.3333 0.6150
I20 I 0.6667 0.3333 0.7059
I21 I 0.6667 0.3333 0.7968
I22 I 0.6667 0.3333 0.9786
```

Largest 6 diffraction maxima, in order of rising 2θ, 2θ from 10° to 80°:
12.0°, I 57.0; 26.6°, I 100.0; 34.1°, I 21.2; 41.6°, I 57.0; 44.1°, I 25.4; 66.7°, I 26.6



# CdI2
Computed powder diffractogram, Cu Kα (λ = 1.5418 Å). Input: a cell relaxed with PBE.
Neutral-atom scattering factors, no anomalous dispersion.

```
data_CdI2
_chemical_formula_sum 'Cd9 I18'
_symmetry_space_group_name_H-M 'P 3 m 1'
_symmetry_Int_Tables_number 156
_symmetry_space_group_name_Hall 'P 3 -2"'
_cell_length_a 4.3328
_cell_length_b 4.3328
_cell_length_c 67.3656
_cell_angle_alpha 90.00
_cell_angle_beta 90.00
_cell_angle_gamma 120.00
loop_
_atom_site_label
_atom_site_type_symbol
_atom_site_fract_x
_atom_site_fract_y
_atom_site_fract_z
Cd1 Cd 0.0000 0.0000 0.0000
Cd2 Cd 0.0000 0.0000 0.1111
Cd3 Cd 0.0000 0.0000 0.3333
Cd4 Cd 0.0000 0.0000 0.5555
Cd5 Cd 0.0000 0.0000 0.7778
Cd6 Cd 0.6667 0.3333 0.2223
Cd7 Cd 0.6667 0.3333 0.4445
Cd8 Cd 0.6667 0.3333 0.6667
Cd9 Cd 0.6667 0.3333 0.8889
I1 I 0.0000 0.0000 0.1966
I2 I 0.0000 0.0000 0.4189
I3 I 0.0000 0.0000 0.6411
I4 I 0.0000 0.0000 0.8633
I5 I 0.3333 0.6667 0.0256
I6 I 0.3333 0.6667 0.1367
I7 I 0.3333 0.6667 0.2479
I8 I 0.3333 0.6667 0.3590
I9 I 0.3333 0.6667 0.4701
I10 I 0.3333 0.6667 0.5811
I11 I 0.3333 0.6667 0.6923
I12 I 0.3333 0.6667 0.8034
I13 I 0.3333 0.6667 0.9146
I14 I 0.6667 0.3333 0.0855
I15 I 0.6667 0.3333 0.3077
I16 I 0.6667 0.3333 0.5299
I17 I 0.6667 0.3333 0.7522
I18 I 0.6667 0.3333 0.9744
```

Largest 6 diffraction maxima, in order of rising 2θ, 2θ from 10° to 80°:
11.8°, I 61.2; 26.6°, I 100.0; 29.4°, I 27.3; 30.2°, I 27.7; 41.7°, I 52.3; 43.5°, I 40.5